This entry pairs a crystal structure of Sr2Li2Sb2H with its computed X-ray powder pattern. Radiation: copper Kα. Structure: a GGA-PBE-relaxed structure.
No peak broadening, texture or thermal motion is included.

Largest 10 diffraction maxima, sorted by position, 2θ = 10–90°:
2θ/deg  d/Å  I_rel
22.33  3.981  56
27.05  3.296  100
34.09  2.630  41
35.35  2.539  78
38.63  2.331  42
45.07  2.012  35
52.46  1.744  24
55.55  1.654  22
67.78  1.382  23
69.70  1.349  23

Atomic structure:
Cell lengths 4.6619, 4.6619, 15.9256 Å; angles 90.00, 90.00, 90.00 degrees
Space group I4/mmm (No. 139)
Asymmetric unit:
1 Sr 0.0000 0.0000 0.1590 [4 per cell]
2 Li 0.0000 0.5000 0.0000 [4 per cell]
3 Sb 0.0000 0.0000 0.3812 [4 per cell]
4 H 0.0000 0.0000 0.0000 [2 per cell]

This entry pairs a crystal structure of PrSmZnRh with its computed X-ray powder pattern. Radiation: copper Kα. Structure: a GGA-PBE-relaxed structure.
No peak broadening, texture or thermal motion is included.

Largest 10 diffraction maxima, sorted by position, 2θ = 10–90°:
2θ/deg  d/Å  I_rel
25.85  3.446  19
31.08  2.878  100
32.82  2.729  23
33.19  2.699  39
38.72  2.325  22
39.04  2.307  59
40.59  2.223  29
45.05  2.012  21
53.40  1.716  20
62.23  1.492  16

Atomic structure:
Cell lengths 4.4450, 4.0250, 10.9144 Å; angles 90.00, 90.00, 90.00 degrees
Space group Amm2 (No. 38)
Asymmetric unit:
1 Pr 0.0000 0.0000 0.0000 [2 per cell]
2 Sm 0.5000 0.0000 0.7220 [2 per cell]
3 Zn 0.5000 0.0000 0.4282 [2 per cell]
4 Rh 0.0000 0.0000 0.2862 [2 per cell]

This entry pairs a crystal structure of TbNd5Er6 with its computed X-ray powder pattern. Radiation: copper Kα. Structure: a GGA-PBE-relaxed structure.
No peak broadening, texture or thermal motion is included.

Largest 10 diffraction maxima, sorted by position, 2θ = 10–90°:
2θ/deg  d/Å  I_rel
30.57  2.925  100
35.28  2.544  34
35.76  2.511  16
50.75  1.799  12
51.11  1.787  24
60.41  1.532  29
61.05  1.518  14
63.63  1.462  12
82.73  1.167  6
83.30  1.160  12

Atomic structure:
Cell lengths 5.0928, 10.0440, 15.2514 Å; angles 90.00, 90.00, 90.00 degrees
Space group Immm (No. 71)
Asymmetric unit:
1 Tb 0.0000 0.0000 0.0000 [2 per cell]
2 Nd 0.0000 0.0000 0.3332 [4 per cell]
3 Nd 0.0000 0.5000 0.0000 [2 per cell]
4 Nd 0.0000 0.5000 0.3347 [4 per cell]
5 Er 0.0000 0.2494 0.1664 [8 per cell]
6 Er 0.0000 0.2511 0.5000 [4 per cell]

This entry pairs a crystal structure of Li2InAu with its computed X-ray powder pattern. Radiation: copper Kα. Structure: a GGA-PBE-relaxed structure.
No peak broadening, texture or thermal motion is included.

Largest 10 diffraction maxima, sorted by position, 2θ = 10–90°:
2θ/deg  d/Å  I_rel
13.77  6.432  98
30.15  2.964  100
38.11  2.362  47
38.88  2.317  83
40.70  2.217  29
42.15  2.144  14
54.99  1.670  16
58.11  1.587  21
64.00  1.455  24
69.38  1.355  30

Atomic structure:
Cell lengths 3.3397, 3.3397, 6.4318 Å; angles 90.00, 90.00, 90.00 degrees
Space group P4mm (No. 99)
Asymmetric unit:
1 Li 0.0000 0.0000 0.0000 [1 per cell]
2 Li 0.5000 0.5000 0.2477 [1 per cell]
3 In 0.5000 0.5000 0.7306 [1 per cell]
4 Au 0.0000 0.0000 0.4410 [1 per cell]

This entry pairs a crystal structure of Pr5DyHo5 with its computed X-ray powder pattern. Radiation: copper Kα. Structure: a GGA-PBE-relaxed structure.
No peak broadening, texture or thermal motion is included.

Largest 10 diffraction maxima, sorted by position, 2θ = 10–90°:
2θ/deg  d/Å  I_rel
27.16  3.283  21
28.21  3.163  16
29.29  3.049  18
29.69  3.009  75
30.33  2.947  32
33.07  2.708  100
40.66  2.219  14
42.95  2.106  25
54.86  1.674  24
60.75  1.525  16

Atomic structure:
Cell lengths 19.0230, 6.0207, 7.0731 Å; angles 90.00, 111.64, 90.00 degrees
Space group C2/m (No. 12)
Asymmetric unit:
1 Pr 0.0000 0.0000 0.0000 [2 per cell]
2 Pr 0.1755 0.5000 0.4200 [4 per cell]
3 Pr 0.1756 0.5000 0.9320 [4 per cell]
4 Dy 0.0000 0.5000 0.0000 [2 per cell]
5 Ho 0.0000 0.5000 0.5000 [2 per cell]
6 Ho 0.1215 0.0000 0.6231 [4 per cell]
7 Ho 0.1689 0.0000 0.1701 [4 per cell]

This entry pairs a crystal structure of RbAlCu2Cl8 with its computed X-ray powder pattern. Radiation: copper Kα. Structure: a GGA-PBE-relaxed structure.
No peak broadening, texture or thermal motion is included.

Largest 10 diffraction maxima, sorted by position, 2θ = 10–90°:
2θ/deg  d/Å  I_rel
18.98  4.675  100
25.49  3.494  51
28.38  3.144  51
29.41  3.037  54
30.06  2.972  80
34.37  2.609  35
34.66  2.588  44
49.41  1.845  34
50.26  1.815  50
59.30  1.558  32

Atomic structure:
Cell lengths 6.2889, 6.2889, 9.1108 Å; angles 90.00, 90.00, 120.00 degrees
Space group P-3 (No. 147)
Asymmetric unit:
1 Rb 0.0000 0.0000 0.0000 [1 per cell]
2 Al 0.0000 0.0000 0.5000 [1 per cell]
3 Cu 0.3333 0.6667 0.7043 [2 per cell]
4 Cl 0.0121 0.7036 0.3492 [6 per cell]
5 Cl 0.3333 0.6667 0.9461 [2 per cell]